[1]
Diffraction record for Al9Fe2. The powder diffractogram is computed, not measured: it uses a DFT-relaxed cell (GGA-PBE, Alexandria) and Cu Kα, 1.54184 Å.
Neutral-atom scattering factors, no anomalous dispersion.

Top 10 peaks for 10 to 80 degrees two-theta, in order of rising 2θ:
2θ/deg	intensity
20.14	908
23.24	731
37.32	743
38.84	756
40.23	791
43.60	1000
45.25	722
45.96	765
46.21	787
46.81	709

Cell and atoms:
a b c (Å): 6.138 6.363 8.670
angles (deg): 90.00 95.15 90.00
Element x y z (fractional)
Al  0.000  0.000  0.000
Al  0.000  0.500  0.500
Al  0.077  0.195  0.725
Al  0.077  0.305  0.225
Al  0.221  0.619  0.046
Al  0.221  0.881  0.546
Al  0.390  0.187  0.995
Al  0.390  0.313  0.495
Al  0.416  0.546  0.770
Al  0.416  0.954  0.270
Al  0.584  0.046  0.730
Al  0.584  0.454  0.230
Al  0.610  0.687  0.505
Al  0.610  0.813  0.005
Al  0.779  0.119  0.454
Al  0.779  0.381  0.954
Al  0.923  0.695  0.775
Al  0.923  0.805  0.275
Fe  0.263  0.618  0.335
Fe  0.263  0.882  0.835
Fe  0.737  0.118  0.165
Fe  0.737  0.382  0.665

[2]
Diffraction record for TiZn3Cu3. The powder diffractogram is computed, not measured: it uses a DFT-relaxed cell (GGA-PBE, Alexandria) and Cu Kα, 1.54184 Å.
Neutral-atom scattering factors, no anomalous dispersion.

Top 10 peaks for 10 to 80 degrees two-theta, in order of rising 2θ:
2θ/deg	intensity
31.99	110
36.34	112
37.05	155
37.57	117
40.58	251
42.81	309
45.32	1000
49.43	136
60.45	103
77.16	106

Cell and atoms:
a b c (Å): 6.134 6.134 5.286
angles (deg): 90.00 90.00 92.93
Element x y z (fractional)
Ti  0.184  0.184  0.000
Ti  0.816  0.816  0.000
Zn  0.157  0.843  0.500
Zn  0.257  0.743  0.000
Zn  0.261  0.261  0.500
Zn  0.739  0.739  0.500
Zn  0.743  0.257  0.000
Zn  0.843  0.157  0.500
Cu  0.000  0.500  0.258
Cu  0.000  0.500  0.742
Cu  0.500  0.000  0.258
Cu  0.500  0.000  0.742
Cu  0.500  0.500  0.240
Cu  0.500  0.500  0.760

[3]
Diffraction record for Na2HfGaO4. The powder diffractogram is computed, not measured: it uses a DFT-relaxed cell (GGA-PBE, Alexandria) and Cu Kα, 1.54184 Å.
Neutral-atom scattering factors, no anomalous dispersion.

Top 10 peaks for 10 to 80 degrees two-theta, in order of rising 2θ:
2θ/deg	intensity
19.97	1000
20.94	393
28.39	631
31.13	183
35.54	249
37.26	283
40.58	324
42.63	618
52.01	268
56.26	278

Cell and atoms:
a b c (Å): 6.288 6.288 5.747
angles (deg): 90.00 90.00 90.00
Element x y z (fractional)
Na  0.000  0.500  0.000
Na  0.000  0.500  0.500
Na  0.500  0.000  0.000
Na  0.500  0.000  0.500
Hf  0.000  0.000  0.000
Hf  0.500  0.500  0.500
Ga  0.000  0.000  0.500
Ga  0.500  0.500  0.000
O  0.161  0.161  0.242
O  0.161  0.839  0.758
O  0.339  0.339  0.742
O  0.339  0.661  0.258
O  0.661  0.339  0.258
O  0.661  0.661  0.742
O  0.839  0.161  0.758
O  0.839  0.839  0.242

[4]
Diffraction record for Nd2Mg5Cd5. The powder diffractogram is computed, not measured: it uses a DFT-relaxed cell (GGA-PBE, Alexandria) and Cu Kα, 1.54184 Å.
Neutral-atom scattering factors, no anomalous dispersion.

Top 10 peaks for 10 to 80 degrees two-theta, in order of rising 2θ:
2θ/deg	intensity
18.45	412
29.96	311
30.19	363
35.42	325
35.61	1000
37.40	272
48.64	159
48.79	188
56.93	249
66.31	155

Cell and atoms:
a b c (Å): 4.809 5.964 10.231
angles (deg): 90.00 90.00 90.00
Element x y z (fractional)
Nd  0.000  0.000  0.000
Nd  0.000  0.500  0.500
Mg  0.500  0.000  0.500
Mg  0.500  0.250  0.246
Mg  0.500  0.250  0.754
Mg  0.500  0.750  0.246
Mg  0.500  0.750  0.754
Cd  0.000  0.000  0.332
Cd  0.000  0.000  0.668
Cd  0.000  0.500  0.171
Cd  0.000  0.500  0.829
Cd  0.500  0.500  0.000

[5]
Diffraction record for Er2Tm2Tl5. The powder diffractogram is computed, not measured: it uses a DFT-relaxed cell (GGA-PBE, Alexandria) and Cu Kα, 1.54184 Å.
Neutral-atom scattering factors, no anomalous dispersion.

Top 10 peaks for 10 to 80 degrees two-theta, in order of rising 2θ:
2θ/deg	intensity
29.91	852
31.49	344
32.17	339
33.67	1000
35.55	554
36.02	530
45.47	250
63.90	310
65.73	222
66.57	237

Cell and atoms:
a b c (Å): 8.918 8.918 8.100
angles (deg): 90.00 90.00 53.08
Element x y z (fractional)
Er  0.199  0.199  0.000
Er  0.301  0.301  0.500
Er  0.699  0.699  0.500
Er  0.801  0.801  0.000
Tm  0.151  0.849  0.655
Tm  0.349  0.651  0.155
Tm  0.651  0.349  0.845
Tm  0.849  0.151  0.345
Tl  0.000  0.000  0.000
Tl  0.012  0.714  0.353
Tl  0.214  0.512  0.853
Tl  0.286  0.988  0.353
Tl  0.488  0.786  0.853
Tl  0.500  0.500  0.500
Tl  0.512  0.214  0.147
Tl  0.714  0.012  0.647
Tl  0.786  0.488  0.147
Tl  0.988  0.286  0.647

[6]
Diffraction record for NbMoC. The powder diffractogram is computed, not measured: it uses a DFT-relaxed cell (GGA-PBE, Alexandria) and Cu Kα, 1.54184 Å.
Neutral-atom scattering factors, no anomalous dispersion.

Top 10 peaks for 10 to 80 degrees two-theta, in order of rising 2θ:
2θ/deg	intensity
33.63	264
37.11	358
38.21	630
38.55	1000
50.94	225
59.64	203
67.63	110
67.86	177
72.37	190
73.74	173

Cell and atoms:
a b c (Å): 6.202 5.733 7.248
angles (deg): 55.61 49.72 74.67
Element x y z (fractional)
Nb  0.041  0.959  0.799
Nb  0.049  0.451  0.291
Nb  0.451  0.049  0.209
Nb  0.959  0.041  0.201
Mo  0.449  0.539  0.704
Mo  0.539  0.449  0.308
Mo  0.546  0.942  0.801
Mo  0.942  0.546  0.711
C  0.254  0.740  0.257
C  0.501  0.993  0.510
C  0.740  0.254  0.749
C  0.993  0.501  0.996

[7]
Diffraction record for SmY3Pb2. The powder diffractogram is computed, not measured: it uses a DFT-relaxed cell (GGA-PBE, Alexandria) and Cu Kα, 1.54184 Å.
Neutral-atom scattering factors, no anomalous dispersion.

Top 10 peaks for 10 to 80 degrees two-theta, in order of rising 2θ:
2θ/deg	intensity
20.65	1000
27.17	261
32.34	718
33.67	177
34.20	563
35.91	150
39.85	214
43.78	281
60.60	145
62.96	248

Cell and atoms:
a b c (Å): 9.037 9.037 9.037
angles (deg): 130.70 72.18 130.83
Element x y z (fractional)
Sm  0.000  0.000  0.000
Sm  0.500  0.500  0.000
Y  0.039  0.250  0.789
Y  0.250  0.750  0.500
Y  0.461  0.250  0.211
Y  0.539  0.750  0.789
Y  0.750  0.250  0.500
Y  0.961  0.750  0.211
Pb  0.143  0.682  0.825
Pb  0.357  0.182  0.540
Pb  0.643  0.818  0.460
Pb  0.857  0.318  0.175

[8]
Diffraction record for NaCd12Hg4. The powder diffractogram is computed, not measured: it uses a DFT-relaxed cell (GGA-PBE, Alexandria) and Cu Kα, 1.54184 Å.
Neutral-atom scattering factors, no anomalous dispersion.

Top 10 peaks for 10 to 80 degrees two-theta, in order of rising 2θ:
2θ/deg	intensity
17.78	402
25.25	409
28.29	1000
31.06	201
33.62	259
40.44	931
44.49	585
46.41	422
58.52	202
67.74	180

Cell and atoms:
a b c (Å): 8.639 8.639 8.639
angles (deg): 109.47 109.47 109.47
Element x y z (fractional)
Na  0.000  0.000  0.000
Cd  0.147  0.353  0.500
Cd  0.147  0.647  0.795
Cd  0.205  0.853  0.353
Cd  0.353  0.205  0.853
Cd  0.353  0.500  0.147
Cd  0.500  0.147  0.353
Cd  0.500  0.853  0.647
Cd  0.647  0.500  0.853
Cd  0.647  0.795  0.147
Cd  0.795  0.147  0.647
Cd  0.853  0.353  0.205
Cd  0.853  0.647  0.500
Hg  0.000  0.000  0.500
Hg  0.000  0.500  0.000
Hg  0.500  0.000  0.000
Hg  0.500  0.500  0.500

[9]
Diffraction record for TbDyRhAu. The powder diffractogram is computed, not measured: it uses a DFT-relaxed cell (GGA-PBE, Alexandria) and Cu Kα, 1.54184 Å.
Neutral-atom scattering factors, no anomalous dispersion.

Top 10 peaks for 10 to 80 degrees two-theta, in order of rising 2θ:
2θ/deg	intensity
12.69	29
28.27	67
35.88	518
36.16	1000
51.65	184
52.48	83
64.67	369
65.21	173
76.05	59
76.73	109

Cell and atoms:
a b c (Å): 3.540 3.540 6.974
angles (deg): 90.00 90.00 90.00
Element x y z (fractional)
Tb  0.000  0.000  0.000
Dy  0.000  0.000  0.525
Rh  0.500  0.500  0.761
Au  0.500  0.500  0.265

[10]
Diffraction record for KInAsS4. The powder diffractogram is computed, not measured: it uses a DFT-relaxed cell (GGA-PBE, Alexandria) and Cu Kα, 1.54184 Å.
Neutral-atom scattering factors, no anomalous dispersion.

Top 10 peaks for 10 to 80 degrees two-theta, in order of rising 2θ:
2θ/deg	intensity
16.10	933
26.85	1000
30.41	195
32.52	179
36.55	317
41.83	191
45.93	393
48.15	283
48.26	177
55.39	138

Cell and atoms:
a b c (Å): 6.954 6.954 9.005
angles (deg): 90.00 90.00 90.00
Element x y z (fractional)
K  0.000  0.000  0.000
K  0.500  0.500  0.500
In  0.000  0.000  0.500
In  0.500  0.500  0.000
As  0.000  0.500  0.250
As  0.500  0.000  0.750
S  0.179  0.244  0.350
S  0.244  0.821  0.650
S  0.256  0.679  0.150
S  0.321  0.256  0.850
S  0.679  0.744  0.850
S  0.744  0.321  0.150
S  0.756  0.179  0.650
S  0.821  0.756  0.350

[11]
Diffraction record for Hf12Pt5N2. The powder diffractogram is computed, not measured: it uses a DFT-relaxed cell (GGA-PBE, Alexandria) and Cu Kα, 1.54184 Å.
Neutral-atom scattering factors, no anomalous dispersion.

Top 10 peaks for 10 to 80 degrees two-theta, in order of rising 2θ:
2θ/deg	intensity
22.62	402
26.11	547
35.74	463
35.86	388
36.59	1000
36.80	526
39.78	431
40.10	420
45.52	364
55.55	295

Cell and atoms:
a b c (Å): 8.310 8.310 7.969
angles (deg): 104.65 104.65 46.93
Element x y z (fractional)
Hf  0.000  0.000  0.193
Hf  0.000  0.000  0.807
Hf  0.102  0.584  0.911
Hf  0.108  0.604  0.436
Hf  0.396  0.892  0.564
Hf  0.416  0.898  0.089
Hf  0.496  0.496  0.175
Hf  0.504  0.504  0.825
Hf  0.584  0.102  0.911
Hf  0.604  0.108  0.436
Hf  0.892  0.396  0.564
Hf  0.898  0.416  0.089
Pt  0.190  0.190  0.840
Pt  0.208  0.208  0.360
Pt  0.500  0.500  0.500
Pt  0.792  0.792  0.640
Pt  0.810  0.810  0.160
N  0.237  0.763  0.000
N  0.763  0.237  0.000

[12]
Diffraction record for Pm3Dy8Th2. The powder diffractogram is computed, not measured: it uses a DFT-relaxed cell (GGA-PBE, Alexandria) and Cu Kα, 1.54184 Å.
Neutral-atom scattering factors, no anomalous dispersion.

Top 10 peaks for 10 to 80 degrees two-theta, in order of rising 2θ:
2θ/deg	intensity
30.62	555
30.75	507
31.00	1000
34.70	394
35.65	332
36.92	281
50.60	229
52.41	127
60.09	137
61.10	144

Cell and atoms:
a b c (Å): 6.140 7.786 18.647
angles (deg): 90.55 99.42 102.94
Element x y z (fractional)
Pm  0.000  0.000  0.000
Pm  0.055  0.317  0.725
Pm  0.220  0.764  0.795
Pm  0.500  0.000  0.500
Pm  0.780  0.236  0.205
Pm  0.945  0.683  0.275
Dy  0.089  0.219  0.537
Dy  0.181  0.013  0.178
Dy  0.278  0.661  0.613
Dy  0.315  0.554  0.425
Dy  0.352  0.464  0.239
Dy  0.421  0.355  0.061
Dy  0.437  0.193  0.884
Dy  0.453  0.098  0.685
Dy  0.547  0.902  0.315
Dy  0.563  0.807  0.116
Dy  0.579  0.645  0.939
Dy  0.648  0.536  0.761
Dy  0.685  0.446  0.575
Dy  0.722  0.339  0.387
Dy  0.819  0.987  0.822
Dy  0.911  0.781  0.463
Th  0.009  0.430  0.915
Th  0.135  0.121  0.354
Th  0.865  0.879  0.646
Th  0.991  0.570  0.085